1.
Computed powder diffraction line list of Na2Br3F6 for Cu Kα, from a structure optimized by DFT (PBE).
Kinematic intensities with the Lorentz-polarization factor, no thermal factor.

Crystal structure
Lattice parameters (Å, degrees): 6.369 6.369 13.358 103.92 103.92 59.31
Element x y z (fractional)
Na1 0.166 0.666 0.502
Na2 0.334 0.834 0.998
Na3 0.666 0.166 0.002
Na4 0.834 0.334 0.498
Br1 0.072 0.928 0.250
Br2 0.250 0.430 0.750
Br3 0.430 0.250 0.250
Br4 0.570 0.750 0.750
Br5 0.750 0.570 0.250
Br6 0.928 0.072 0.750
F1 0.042 0.914 0.099
F2 0.086 0.958 0.401
F3 0.145 0.414 0.599
F4 0.354 0.462 0.901
F5 0.414 0.145 0.099
F6 0.462 0.354 0.401
F7 0.538 0.646 0.599
F8 0.586 0.855 0.901
F9 0.646 0.538 0.099
F10 0.855 0.586 0.401
F11 0.914 0.042 0.599
F12 0.958 0.086 0.901

Peak list (6 most intense, 5 to 70 degrees two-theta, in order of rising 2θ)
Position (°2θ)  I/Imax
13.80  51
28.89  100
29.18  50
31.36  27
49.96  20
58.06  20

***

2.
Computed powder diffraction line list of NaBr3F12 for Cu Kα, from a structure optimized by DFT (PBE).
Kinematic intensities with the Lorentz-polarization factor, no thermal factor.

Crystal structure
Lattice parameters (Å, degrees): 9.730 9.730 7.025 90.00 90.00 120.00
Element x y z (fractional)
Na1 0.333 0.667 0.250
Na2 0.667 0.333 0.750
Br1 0.082 0.752 0.750
Br2 0.248 0.330 0.750
Br3 0.330 0.082 0.250
Br4 0.670 0.918 0.750
Br5 0.752 0.670 0.250
Br6 0.918 0.248 0.250
F1 0.062 0.503 0.250
F2 0.100 0.222 0.250
F3 0.123 0.900 0.250
F4 0.214 0.743 0.563
F5 0.214 0.743 0.937
F6 0.222 0.123 0.750
F7 0.257 0.471 0.563
F8 0.257 0.471 0.937
F9 0.441 0.938 0.250
F10 0.471 0.214 0.063
F11 0.471 0.214 0.437
F12 0.497 0.559 0.250
F13 0.503 0.441 0.750
F14 0.529 0.786 0.563
F15 0.529 0.786 0.937
F16 0.559 0.062 0.750
F17 0.743 0.529 0.063
F18 0.743 0.529 0.437
F19 0.778 0.877 0.250
F20 0.786 0.257 0.063
F21 0.786 0.257 0.437
F22 0.877 0.100 0.750
F23 0.900 0.778 0.750
F24 0.938 0.497 0.750

Peak list (6 most intense, 5 to 70 degrees two-theta, in order of rising 2θ)
Position (°2θ)  I/Imax
22.23  100
24.64  49
25.36  36
28.01  21
38.52  19
46.68  32

***

3.
Computed powder diffraction line list of Na5Br4F for Cu Kα, from a structure optimized by DFT (PBE).
Kinematic intensities with the Lorentz-polarization factor, no thermal factor.

Crystal structure
Lattice parameters (Å, degrees): 14.755 14.755 14.755 163.75 163.75 23.05
Element x y z (fractional)
Na1 0.000 0.000 0.000
Na2 0.200 0.200 0.000
Na3 0.419 0.419 0.000
Na4 0.581 0.581 0.000
Na5 0.800 0.800 0.000
Br1 0.094 0.094 0.000
Br2 0.304 0.304 0.000
Br3 0.696 0.696 0.000
Br4 0.906 0.906 0.000
F1 0.500 0.500 0.000

Peak list (6 most intense, 5 to 70 degrees two-theta, in order of rising 2θ)
Position (°2θ)  I/Imax
26.35  69
30.31  100
30.93  40
43.40  36
43.85  57
54.24  29

***

4.
Computed powder diffraction line list of Na7BrO2F2 for Cu Kα, from a structure optimized by DFT (PBE).
Kinematic intensities with the Lorentz-polarization factor, no thermal factor.

Crystal structure
Lattice parameters (Å, degrees): 4.543 4.543 11.301 101.69 101.69 88.42
Element x y z (fractional)
Na1 0.000 0.000 0.000
Na2 0.069 0.599 0.217
Na3 0.152 0.152 0.416
Na4 0.401 0.931 0.783
Na5 0.599 0.069 0.217
Na6 0.848 0.848 0.584
Na7 0.931 0.401 0.783
Br1 0.500 0.500 0.000
O1 0.104 0.104 0.213
O2 0.896 0.896 0.787
F1 0.218 0.218 0.618
F2 0.782 0.782 0.382

Peak list (6 most intense, 5 to 70 degrees two-theta, in order of rising 2θ)
Position (°2θ)  I/Imax
8.16  100
19.99  41
23.12  57
32.74  76
39.69  96
41.66  45

***

5.
Computed powder diffraction line list of Na5Br2OF for Cu Kα, from a structure optimized by DFT (PBE).
Kinematic intensities with the Lorentz-polarization factor, no thermal factor.

Crystal structure
Lattice parameters (Å, degrees): 8.036 8.036 8.036 148.48 131.61 58.90
Element x y z (fractional)
Na1 0.000 0.000 0.000
Na2 0.128 0.385 0.743
Na3 0.358 0.615 0.743
Na4 0.642 0.385 0.257
Na5 0.872 0.615 0.257
Br1 0.218 0.218 0.000
Br2 0.782 0.782 0.000
O1 0.000 0.500 0.500
F1 0.500 0.000 0.500

Peak list (6 most intense, 5 to 70 degrees two-theta, in order of rising 2θ)
Position (°2θ)  I/Imax
12.65  32
24.47  53
27.63  100
34.72  36
37.50  58
38.20  49